Record 1
# LaCuNiSn2
Simulated PXRD pattern, Cu Kα X-rays. Input: a structure optimized by DFT (GGA-PBE).
Lines closer than 0.1° are merged.

Cell and atoms:
Cell lengths 4.505, 4.505, 10.473 Å; angles 90.00, 90.00, 90.00 degrees
Space group P4/nmm (No. 129, origin choice 2)
Inequivalent atoms, fractional coordinates:
La 0.250 0.250 0.234 (multiplicity 2)
Cu 0.250 0.250 0.638 (multiplicity 2)
Ni 0.250 0.750 0.000 (multiplicity 2)
Sn 0.250 0.250 0.883 (multiplicity 2)
Sn 0.250 0.750 0.500 (multiplicity 2)

Largest 6 diffraction maxima, by angle, 15 to 90 degrees two-theta:
h k l, two_theta, d [Å], I/Imax
1 0 3, 32.45, 2.759, 71
1 1 2, 32.91, 2.721, 100
2 0 0, 40.03, 2.252, 76
1 1 4, 44.81, 2.023, 25
2 1 3, 52.44, 1.745, 37
2 2 0, 57.90, 1.593, 26

***

Record 2
# LaCu4P3
Simulated PXRD pattern, Cu Kα X-rays. Input: a structure optimized by DFT (GGA-PBE).
Lines closer than 0.1° are merged.

Cell and atoms:
Cell lengths 5.791, 5.791, 7.361 Å; angles 90.00, 90.00, 90.00 degrees
Space group P4/nmm (No. 129, origin choice 2)
Inequivalent atoms, fractional coordinates:
La 0.250 0.250 0.020 (multiplicity 2)
Cu 0.017 0.017 0.673 (multiplicity 8)
P 0.250 0.250 0.475 (multiplicity 2)
P 0.250 0.750 0.154 (multiplicity 4)

Largest 6 diffraction maxima, by angle, 15 to 90 degrees two-theta:
h k l, two_theta, d [Å], I/Imax
1 1 2, 32.72, 2.737, 48
2 0 1, 33.25, 2.694, 100
0 0 3, 36.62, 2.454, 27
2 0 2, 39.60, 2.276, 74
2 2 0, 44.24, 2.047, 75
2 2 3, 58.73, 1.572, 24

***

Record 3
# La3Cu4P4S2
Simulated PXRD pattern, Cu Kα X-rays. Input: a structure optimized by DFT (GGA-PBE).
Lines closer than 0.1° are merged.

Cell and atoms:
Cell lengths 4.086, 4.086, 28.424 Å; angles 90.00, 90.00, 90.00 degrees
Space group I4/mmm (No. 139)
Inequivalent atoms, fractional coordinates:
La 0.000 0.000 0.000 (multiplicity 2)
La 0.000 0.000 0.321 (multiplicity 4)
Cu 0.000 0.500 0.087 (multiplicity 8)
P 0.000 0.000 0.132 (multiplicity 4)
P 0.000 0.000 0.460 (multiplicity 4)
S 0.000 0.500 0.250 (multiplicity 4)

Largest 6 diffraction maxima, by angle, 15 to 90 degrees two-theta:
h k l, two_theta, d [Å], I/Imax
1 0 3, 23.71, 3.752, 51
1 0 9, 35.94, 2.499, 31
1 1 6, 36.42, 2.467, 100
2 0 0, 44.34, 2.043, 40
2 1 9, 58.34, 1.582, 15
3 1 6, 76.40, 1.247, 21

***

Record 4
# LaCuPbS3
Simulated PXRD pattern, Cu Kα X-rays. Input: a structure optimized by DFT (GGA-PBE).
Lines closer than 0.1° are merged.

Cell and atoms:
Cell lengths 7.769, 4.043, 9.548 Å; angles 90.00, 101.40, 90.00 degrees
Space group P2_1/m (No. 11)
Inequivalent atoms, fractional coordinates:
La 0.207 0.250 0.154 (multiplicity 2)
Cu 0.427 0.750 0.415 (multiplicity 2)
Pb 0.257 0.750 0.697 (multiplicity 2)
S 0.059 0.250 0.848 (multiplicity 2)
S 0.269 0.250 0.459 (multiplicity 2)
S 0.469 0.750 0.177 (multiplicity 2)

Largest 6 diffraction maxima, by angle, 15 to 90 degrees two-theta:
h k l, two_theta, d [Å], I/Imax
2 0 0, 23.36, 3.808, 43
0 1 1, 23.98, 3.712, 58
2 1 -1, 32.33, 2.769, 100
2 1 1, 35.06, 2.560, 58
1 1 -3, 36.44, 2.466, 70
0 2 0, 44.81, 2.022, 39

***

Record 5
# LaPr2Cu2Si4Pd2
Simulated PXRD pattern, Cu Kα X-rays. Input: a structure optimized by DFT (GGA-PBE).
Lines closer than 0.1° are merged.

Cell and atoms:
Cell lengths 4.198, 4.243, 24.343 Å; angles 90.00, 90.00, 90.00 degrees
Space group Immm (No. 71)
Inequivalent atoms, fractional coordinates:
La 0.000 0.000 0.000 (multiplicity 2)
Pr 0.000 0.500 0.153 (multiplicity 4)
Cu 0.000 0.000 0.249 (multiplicity 4)
Si 0.000 0.000 0.451 (multiplicity 4)
Si 0.000 0.500 0.302 (multiplicity 4)
Pd 0.000 0.500 0.402 (multiplicity 4)

Largest 6 diffraction maxima, by angle, 15 to 90 degrees two-theta:
h k l, two_theta, d [Å], I/Imax
0 1 3, 23.66, 3.760, 14
1 0 5, 28.07, 3.179, 14
1 1 4, 33.45, 2.679, 100
0 1 9, 39.51, 2.281, 17
0 2 0, 42.62, 2.121, 17
2 0 0, 43.10, 2.099, 16

***

Record 6
# LaCuSiPd
Simulated PXRD pattern, Cu Kα X-rays. Input: a structure optimized by DFT (GGA-PBE).
Lines closer than 0.1° are merged.

Cell and atoms:
Cell lengths 6.750, 6.750, 6.750 Å; angles 90.00, 90.00, 90.00 degrees
Space group F-43m (No. 216)
Inequivalent atoms, fractional coordinates:
La 0.000 0.000 0.000 (multiplicity 4)
Cu 0.000 0.000 0.500 (multiplicity 4)
Si 0.250 0.250 0.250 (multiplicity 4)
Pd 0.250 0.250 0.750 (multiplicity 4)

Largest 6 diffraction maxima, by angle, 15 to 90 degrees two-theta:
h k l, two_theta, d [Å], I/Imax
1 1 1, 22.82, 3.897, 22
2 2 0, 37.69, 2.386, 100
3 1 1, 44.52, 2.035, 12
4 0 0, 54.37, 1.687, 17
4 2 2, 68.04, 1.378, 34
4 4 0, 80.49, 1.193, 10